Computed powder X-ray diffraction pattern of Y4CuGe8 for Cu Kα, 1.54184 Å, from a structure optimized by DFT (PBE).

Atomic structure:
a = 3.973 Å, b = 4.082 Å, c = 16.612 Å
α = 90.00°, β = 90.00°, γ = 90.00°
Element x y z (fractional)
Y 0.000 0.000 0.000
Y 0.000 0.500 0.488
Y 0.500 0.000 0.789
Y 0.500 0.500 0.283
Cu 0.000 0.500 0.714
Ge 0.000 0.000 0.333
Ge 0.000 0.000 0.628
Ge 0.000 0.500 0.138
Ge 0.000 0.500 0.856
Ge 0.500 0.000 0.144
Ge 0.500 0.000 0.432
Ge 0.500 0.500 0.628
Ge 0.500 0.500 0.952

Top 10 peaks for 5 to 70 degrees two-theta, by angle:
two_theta	I/Imax
27.14	8
32.34	13
34.82	13
35.45	100
39.68	14
44.39	20
45.67	19
49.53	7
61.03	8
65.58	12

***

Computed powder X-ray diffraction pattern of Cu12PdPt6 for Cu Kα, 1.54184 Å, from a structure optimized by DFT (PBE).

Atomic structure:
a = 6.969 Å, b = 6.969 Å, c = 6.969 Å
α = 64.37°, β = 64.37°, γ = 64.37°
Element x y z (fractional)
Cu 0.150 0.150 0.519
Cu 0.150 0.519 0.150
Cu 0.177 0.504 0.504
Cu 0.481 0.850 0.850
Cu 0.496 0.496 0.823
Cu 0.496 0.823 0.496
Cu 0.504 0.177 0.504
Cu 0.504 0.504 0.177
Cu 0.519 0.150 0.150
Cu 0.823 0.496 0.496
Cu 0.850 0.481 0.850
Cu 0.850 0.850 0.481
Pd 0.000 0.000 0.000
Pt 0.112 0.738 0.738
Pt 0.262 0.262 0.888
Pt 0.262 0.888 0.262
Pt 0.738 0.112 0.738
Pt 0.738 0.738 0.112
Pt 0.888 0.262 0.262

Top 10 peaks for 5 to 70 degrees two-theta, by angle:
two_theta	I/Imax
16.13	42
25.68	20
28.28	18
38.63	51
39.14	78
40.81	37
42.16	30
43.22	57
45.42	100
46.27	23

***

Computed powder X-ray diffraction pattern of CsK4Na6 for Cu Kα, 1.54184 Å, from a structure optimized by DFT (PBE).

Atomic structure:
a = 10.746 Å, b = 10.746 Å, c = 6.335 Å
α = 90.00°, β = 90.00°, γ = 120.00°
Element x y z (fractional)
Cs 0.000 0.000 0.000
K 0.114 0.728 0.500
K 0.272 0.386 0.500
K 0.614 0.886 0.500
K 0.667 0.333 0.000
Na 0.103 0.488 0.000
Na 0.386 0.897 0.000
Na 0.434 0.132 0.500
Na 0.512 0.614 0.000
Na 0.698 0.566 0.500
Na 0.868 0.302 0.500

Top 10 peaks for 5 to 70 degrees two-theta, by angle:
two_theta	I/Imax
9.50	24
16.93	39
19.07	25
21.69	100
23.72	49
25.32	56
28.17	33
29.04	57
38.24	36
53.61	25

***

Computed powder X-ray diffraction pattern of GdHfZnRu for Cu Kα, 1.54184 Å, from a structure optimized by DFT (PBE).

Atomic structure:
a = 4.799 Å, b = 4.799 Å, c = 4.799 Å
α = 60.00°, β = 60.00°, γ = 60.00°
Element x y z (fractional)
Gd 0.000 0.000 0.000
Hf 0.500 0.500 0.500
Zn 0.250 0.250 0.250
Ru 0.750 0.750 0.750

Top 8 peaks for 5 to 70 degrees two-theta, by angle:
two_theta	I/Imax
22.69	1
26.26	12
37.48	100
44.26	1
46.34	4
54.04	17
61.06	5
67.62	35

***

Computed powder X-ray diffraction pattern of HPbIO for Cu Kα, 1.54184 Å, from a structure optimized by DFT (PBE).

Atomic structure:
a = 7.964 Å, b = 4.246 Å, c = 10.762 Å
α = 90.00°, β = 90.00°, γ = 90.00°
Element x y z (fractional)
H 0.191 0.250 0.106
H 0.309 0.750 0.606
H 0.691 0.250 0.394
H 0.809 0.750 0.894
Pb 0.180 0.750 0.919
Pb 0.320 0.250 0.419
Pb 0.680 0.750 0.581
Pb 0.820 0.250 0.081
I 0.054 0.250 0.679
I 0.446 0.750 0.179
I 0.554 0.250 0.821
I 0.946 0.750 0.321
O 0.116 0.250 0.033
O 0.384 0.750 0.533
O 0.616 0.250 0.467
O 0.884 0.750 0.967

Top 10 peaks for 5 to 70 degrees two-theta, by angle:
two_theta	I/Imax
19.91	43
23.83	43
25.17	100
29.04	76
31.91	46
32.68	56
34.81	36
35.17	51
50.64	29
53.04	30

***

Computed powder X-ray diffraction pattern of GdNi12B6 for Cu Kα, 1.54184 Å, from a structure optimized by DFT (PBE).

Atomic structure:
a = 6.042 Å, b = 6.042 Å, c = 11.006 Å
α = 90.00°, β = 90.00°, γ = 75.21°
Element x y z (fractional)
Gd 0.167 0.833 0.500
Gd 0.833 0.167 0.000
Ni 0.003 0.631 0.940
Ni 0.118 0.145 0.758
Ni 0.145 0.118 0.258
Ni 0.195 0.543 0.736
Ni 0.212 0.526 0.278
Ni 0.218 0.782 0.102
Ni 0.272 0.343 0.070
Ni 0.343 0.272 0.570
Ni 0.369 0.997 0.940
Ni 0.432 0.568 0.920
Ni 0.457 0.805 0.736
Ni 0.474 0.788 0.278
Ni 0.526 0.212 0.778
Ni 0.543 0.195 0.236
Ni 0.568 0.432 0.420
Ni 0.631 0.003 0.440
Ni 0.657 0.728 0.070
Ni 0.728 0.657 0.570
Ni 0.782 0.218 0.602
Ni 0.788 0.474 0.778
Ni 0.805 0.457 0.236
Ni 0.855 0.882 0.758
Ni 0.882 0.855 0.258
Ni 0.997 0.369 0.440
B 0.013 0.400 0.625
B 0.164 0.836 0.840
B 0.243 0.327 0.888
B 0.327 0.243 0.388
B 0.400 0.013 0.125
B 0.486 0.514 0.160
B 0.514 0.486 0.660
B 0.600 0.987 0.625
B 0.673 0.757 0.888
B 0.757 0.673 0.388
B 0.836 0.164 0.340
B 0.987 0.600 0.125

Top 10 peaks for 5 to 70 degrees two-theta, by angle:
two_theta	I/Imax
31.66	59
32.54	27
34.74	49
39.39	67
41.13	73
41.32	100
43.96	42
49.68	31
58.03	25
61.38	27

***

Computed powder X-ray diffraction pattern of VB2Mo2 for Cu Kα, 1.54184 Å, from a structure optimized by DFT (PBE).

Atomic structure:
a = 5.922 Å, b = 5.922 Å, c = 3.131 Å
α = 90.00°, β = 90.00°, γ = 149.78°
Element x y z (fractional)
V 0.000 0.000 0.000
B 0.206 0.794 0.000
B 0.794 0.206 0.000
Mo 0.361 0.639 0.500
Mo 0.639 0.361 0.500

Top 10 peaks for 5 to 70 degrees two-theta, by angle:
two_theta	I/Imax
28.51	36
29.97	20
31.29	28
37.48	92
41.84	100
42.84	83
47.75	46
49.60	16
59.01	18
59.91	17

***

Computed powder X-ray diffraction pattern of Rb2Ni3Se4 for Cu Kα, 1.54184 Å, from a structure optimized by DFT (PBE).

Atomic structure:
a = 15.232 Å, b = 14.588 Å, c = 6.156 Å
α = 84.03°, β = 72.28°, γ = 23.70°
Element x y z (fractional)
Rb 0.050 0.050 0.200
Rb 0.200 0.200 0.050
Rb 0.800 0.800 0.950
Rb 0.950 0.950 0.800
Ni 0.126 0.126 0.624
Ni 0.375 0.375 0.375
Ni 0.376 0.376 0.874
Ni 0.624 0.624 0.126
Ni 0.625 0.625 0.625
Ni 0.874 0.874 0.376
Se 0.158 0.484 0.259
Se 0.259 0.598 0.158
Se 0.402 0.741 0.516
Se 0.484 0.158 0.598
Se 0.516 0.842 0.402
Se 0.598 0.259 0.484
Se 0.741 0.402 0.842
Se 0.842 0.516 0.741

Top 10 peaks for 5 to 70 degrees two-theta, by angle:
two_theta	I/Imax
12.41	100
19.15	28
22.89	31
29.18	89
29.89	44
34.89	50
36.59	67
40.87	49
51.62	43
60.13	34

***

Computed powder X-ray diffraction pattern of TmP2IrRh2 for Cu Kα, 1.54184 Å, from a structure optimized by DFT (PBE).

Atomic structure:
a = 4.469 Å, b = 4.469 Å, c = 5.455 Å
α = 90.00°, β = 90.00°, γ = 90.00°
Element x y z (fractional)
Tm 0.000 0.000 0.000
P 0.000 0.500 0.500
P 0.500 0.000 0.500
Ir 0.000 0.000 0.500
Rh 0.500 0.500 0.247
Rh 0.500 0.500 0.753

Top 10 peaks for 5 to 70 degrees two-theta, by angle:
two_theta	I/Imax
19.87	16
28.24	91
32.82	6
38.67	100
40.37	54
52.98	5
57.14	64
58.41	18
66.12	17
68.84	6

***

Computed powder X-ray diffraction pattern of Rb3Zn2PbO6 for Cu Kα, 1.54184 Å, from a structure optimized by DFT (PBE).

Atomic structure:
a = 6.173 Å, b = 6.173 Å, c = 7.487 Å
α = 90.00°, β = 90.00°, γ = 120.00°
Element x y z (fractional)
Rb 0.000 0.000 0.000
Rb 0.333 0.667 0.749
Rb 0.667 0.333 0.251
Zn 0.333 0.667 0.325
Zn 0.667 0.333 0.675
Pb 0.000 0.000 0.500
O 0.159 0.318 0.308
O 0.159 0.841 0.308
O 0.318 0.159 0.692
O 0.682 0.841 0.308
O 0.841 0.159 0.692
O 0.841 0.682 0.692

Top 10 peaks for 5 to 70 degrees two-theta, by angle:
two_theta	I/Imax
11.82	37
16.58	26
28.93	96
29.12	100
41.51	46
51.27	20
51.39	44
57.59	15
59.94	17
68.01	18

***

Computed powder X-ray diffraction pattern of Ac2Tl3Cu2 for Cu Kα, 1.54184 Å, from a structure optimized by DFT (PBE).

Atomic structure:
a = 11.161 Å, b = 11.161 Å, c = 4.064 Å
α = 90.00°, β = 90.00°, γ = 156.91°
Element x y z (fractional)
Ac 0.168 0.832 0.000
Ac 0.832 0.168 0.000
Tl 0.000 0.000 0.000
Tl 0.425 0.575 0.500
Tl 0.575 0.425 0.500
Cu 0.279 0.721 0.500
Cu 0.721 0.279 0.500

Top 10 peaks for 5 to 70 degrees two-theta, by angle:
two_theta	I/Imax
28.56	33
30.00	100
33.01	72
35.05	45
40.37	25
44.60	19
53.10	38
57.94	23
61.71	14
63.35	15